Diffraction record for Li9Mn2Co5O16. The powder XRD pattern is calculated, not measured: it uses a PBE+U-relaxed structure and Cu Kα X-rays.
Kinematic intensities with the Lorentz-polarization factor, no thermal factor.

Largest 10 diffraction maxima, in order of rising 2θ, 2θ = 10–80°:
d/Å  2θ/deg  intensity  h k l
4.840  18.3  100.0  0 1 0
2.522  35.6  14.0  1 0 -4
2.467  36.4  25.3  2 -1 0
2.380  37.8  7.5  2 0 0
2.111  42.8  28.4  1 1 -4
2.055  44.1  26.1  1 1 4
2.050  44.2  26.2  2 -2 0
1.910  47.6  8.7  1 -2 4
1.479  62.8  14.0  1 -3 4
1.463  63.6  14.4  -3 1 4

Structural model:
a = 5.015 Å, b = 5.100 Å, c = 11.728 Å
α = 90.76°, β = 91.05°, γ = 108.33°
Atoms (fractional coordinates):
Li (0.000, 0.000, 0.000)
Li (0.002, 0.997, 0.237)
Li (0.007, 0.503, 0.110)
Li (0.014, 0.010, 0.479)
Li (0.491, 0.994, 0.611)
Li (0.495, 0.994, 0.872)
Li (0.500, 0.000, 0.118)
Li (0.514, 0.008, 0.360)
Li (0.986, 0.990, 0.743)
Mn (0.484, 0.483, 0.742)
Mn (0.500, 0.499, 0.993)
Co (0.003, 0.508, 0.353)
Co (0.502, 0.504, 0.489)
Co (0.505, 0.514, 0.236)
Co (0.988, 0.485, 0.612)
Co (0.992, 0.492, 0.866)
O (0.226, 0.702, 0.742)
O (0.244, 0.714, 0.493)
O (0.245, 0.249, 0.627)
O (0.248, 0.718, 0.979)
O (0.253, 0.276, 0.864)
O (0.266, 0.741, 0.243)
O (0.277, 0.281, 0.370)
O (0.286, 0.270, 0.105)
O (0.709, 0.710, 0.624)
O (0.728, 0.737, 0.106)
O (0.731, 0.709, 0.863)
O (0.737, 0.267, 0.745)
O (0.746, 0.273, 0.496)
O (0.752, 0.280, 0.980)
O (0.761, 0.749, 0.367)
O (0.763, 0.277, 0.246)